[1]
Structure and theoretical powder diffraction line list of BaSr3Sn2 (a crystal structure in Alexandria, relaxed with GGA-PBE; Cu Kα (weighted mean of Kα1 and Kα2)).

Peak list (10 most intense, 10 to 80 degrees two-theta, sorted by position)
d/Å, I/Imax
3.420, 59
3.397, 19
3.312, 20
3.223, 100
2.883, 55
2.715, 48
2.523, 23
1.848, 21
1.807, 19
1.597, 22

Structural model:
Cell lengths 5.430, 10.206, 8.708 Å; angles 90.00, 90.00, 90.00 degrees
Fractional positions:
Ba: 0.000 0.070 0.000
Ba: 0.000 0.930 0.500
Sr: 0.000 0.327 0.629
Sr: 0.000 0.673 0.129
Sr: 0.500 0.180 0.327
Sr: 0.500 0.429 0.955
Sr: 0.500 0.571 0.455
Sr: 0.500 0.820 0.827
Sn: 0.000 0.360 0.235
Sn: 0.000 0.640 0.735
Sn: 0.500 0.145 0.722
Sn: 0.500 0.855 0.222


[2]
Structure and theoretical powder diffraction line list of Ac5Pr2Dy (a crystal structure in Alexandria, relaxed with GGA-PBE; Cu Kα (weighted mean of Kα1 and Kα2)).

Peak list (10 most intense, 10 to 80 degrees two-theta, sorted by position)
d/Å, I/Imax
3.156, 100
2.767, 18
2.717, 33
1.938, 26
1.663, 16
1.641, 30
1.579, 7
1.577, 7
1.258, 6
1.257, 6

Structural model:
Cell lengths 7.675, 15.388, 5.533 Å; angles 90.00, 90.00, 90.00 degrees
Fractional positions:
Ac: 0.000 0.000 0.000
Ac: 0.009 0.254 0.000
Ac: 0.241 0.621 0.500
Ac: 0.259 0.121 0.500
Ac: 0.491 0.754 0.000
Ac: 0.500 0.500 0.000
Ac: 0.509 0.246 0.000
Ac: 0.741 0.879 0.500
Ac: 0.759 0.379 0.500
Ac: 0.991 0.746 0.000
Pr: 0.245 0.877 0.500
Pr: 0.255 0.377 0.500
Pr: 0.745 0.623 0.500
Pr: 0.755 0.123 0.500
Dy: 0.000 0.500 0.000
Dy: 0.500 0.000 0.000